Theoretical powder diffractogram
Compound: Fe12O13
Radiation: Cu Ka
Structure: a cell relaxed with GGA+U
Kinematic intensities with the Lorentz-polarization factor, no thermal factor.

Crystal structure
```
data_Fe12O13
_chemical_formula_sum 'Fe36 O39'
_cell_length_a 11.0580
_cell_length_b 11.0580
_cell_length_c 7.5757
_cell_angle_alpha 90.00
_cell_angle_beta 90.00
_cell_angle_gamma 120.00
_symmetry_space_group_name_H-M 'R -3'
_symmetry_Int_Tables_number 148
_symmetry_space_group_name_Hall '-R 3'
loop_
_atom_site_label
_atom_site_fract_x
_atom_site_fract_y
_atom_site_fract_z
Fe1 0.0393 0.5993 0.1713
Fe2 0.0468 0.1768 0.8298
O1 0.0000 0.0000 0.0000
O2 0.0272 0.5850 0.6614
O3 0.0544 0.1914 0.3148
```

The 12 most intense peaks (10 to 80 degrees two-theta), low angle first:
2θ/deg	intensity	index
14.91	4	1 0 1
16.03	5	1 1 0
27.31	6	2 1 1
35.55	16	0 0 3
35.83	46	4 -3 1
41.53	100	3 1 2
59.99	29	4 -3 4
60.36	28	2 5 0
71.72	6	3 1 5
72.05	12	2 5 3
72.22	6	6 2 1
75.93	12	8 -6 2